Starting from a DFT-relaxed cell (GGA-PBE, Alexandria), the XRD peak list of Ce3Mg2Ni2Ge4 was computed for Cu Kα (weighted mean of Kα1 and Kα2).

Crystal structure
a b c (Å): 4.291 4.291 14.624
angles (deg): 90.00 90.00 120.00
Sites, in units of the cell vectors:
Ce  0.000  0.000  0.000
Ce  0.000  0.000  0.255
Ce  0.000  0.000  0.745
Mg  0.333  0.667  0.565
Mg  0.667  0.333  0.435
Ni  0.333  0.667  0.128
Ni  0.667  0.333  0.872
Ge  0.333  0.667  0.368
Ge  0.333  0.667  0.871
Ge  0.667  0.333  0.129
Ge  0.667  0.333  0.632

Top 12 peaks for 5 to 70 degrees two-theta, by intensity:
- 2θ = 34.41°, intensity 100
- 2θ = 6.04°, intensity 65
- 2θ = 42.12°, intensity 57
- 2θ = 55.48°, intensity 25
- 2θ = 67.29°, intensity 21
- 2θ = 30.24°, intensity 17
- 2θ = 26.91°, intensity 16
- 2θ = 23.95°, intensity 10
- 2θ = 24.72°, intensity 9
- 2θ = 49.89°, intensity 9
- 2θ = 12.10°, intensity 8
- 2θ = 44.45°, intensity 6

Starting from a DFT-relaxed cell (GGA-PBE, Alexandria), the XRD peak list of Ce2MgGe3Pt6 was computed for Cu Kα (weighted mean of Kα1 and Kα2).

Crystal structure
a b c (Å): 4.092 4.092 15.751
angles (deg): 90.00 90.00 90.00
Sites, in units of the cell vectors:
Ce  0.000  0.000  0.214
Ce  0.000  0.000  0.786
Mg  0.000  0.000  0.500
Ge  0.500  0.500  0.000
Ge  0.500  0.500  0.306
Ge  0.500  0.500  0.694
Pt  0.000  0.500  0.391
Pt  0.000  0.500  0.609
Pt  0.500  0.000  0.391
Pt  0.500  0.000  0.609
Pt  0.500  0.500  0.150
Pt  0.500  0.500  0.850

Top 12 peaks for 5 to 70 degrees two-theta, by intensity:
- 2θ = 5.61°, intensity 100
- 2θ = 31.45°, intensity 86
- 2θ = 44.27°, intensity 51
- 2θ = 35.42°, intensity 34
- 2θ = 22.58°, intensity 26
- 2θ = 38.61°, intensity 25
- 2θ = 46.04°, intensity 25
- 2θ = 46.72°, intensity 24
- 2θ = 28.33°, intensity 24
- 2θ = 32.98°, intensity 24
- 2θ = 65.78°, intensity 19
- 2θ = 64.39°, intensity 17

Starting from a DFT-relaxed cell (GGA-PBE, Alexandria), the XRD peak list of CeMg2Ge2Pt was computed for Cu Kα (weighted mean of Kα1 and Kα2).

Crystal structure
a b c (Å): 4.243 4.243 16.360
angles (deg): 90.00 90.00 90.00
Sites, in units of the cell vectors:
Ce  0.000  0.000  0.000
Ce  0.500  0.500  0.500
Mg  0.000  0.500  0.250
Mg  0.000  0.500  0.750
Mg  0.500  0.000  0.250
Mg  0.500  0.000  0.750
Ge  0.000  0.000  0.353
Ge  0.000  0.000  0.647
Ge  0.500  0.500  0.147
Ge  0.500  0.500  0.853
Pt  0.000  0.000  0.500
Pt  0.500  0.500  0.000

Top 12 peaks for 5 to 70 degrees two-theta, by intensity:
- 2θ = 10.82°, intensity 100
- 2θ = 31.77°, intensity 70
- 2θ = 29.78°, intensity 66
- 2θ = 21.68°, intensity 57
- 2θ = 44.92°, intensity 56
- 2θ = 42.62°, intensity 38
- 2θ = 63.14°, intensity 24
- 2θ = 44.27°, intensity 22
- 2θ = 32.85°, intensity 21
- 2θ = 48.32°, intensity 20
- 2θ = 54.83°, intensity 20
- 2θ = 54.29°, intensity 16

Starting from a DFT-relaxed cell (GGA-PBE, Alexandria), the XRD peak list of CeMg2Si2Ge was computed for Cu Kα (weighted mean of Kα1 and Kα2).

Crystal structure
a b c (Å): 5.300 5.300 10.254
angles (deg): 90.00 90.00 90.00
Sites, in units of the cell vectors:
Ce  0.000  0.000  0.000
Ce  0.500  0.500  0.500
Mg  0.000  0.500  0.250
Mg  0.000  0.500  0.750
Mg  0.500  0.000  0.250
Mg  0.500  0.000  0.750
Si  0.000  0.000  0.272
Si  0.000  0.000  0.728
Si  0.500  0.500  0.228
Si  0.500  0.500  0.772
Ge  0.000  0.000  0.500
Ge  0.500  0.500  0.000

Top 12 peaks for 5 to 70 degrees two-theta, by intensity:
- 2θ = 29.52°, intensity 100
- 2θ = 23.74°, intensity 97
- 2θ = 33.83°, intensity 83
- 2θ = 49.47°, intensity 53
- 2θ = 42.74°, intensity 37
- 2θ = 35.00°, intensity 36
- 2θ = 57.89°, intensity 30
- 2θ = 48.59°, intensity 29
- 2θ = 61.28°, intensity 27
- 2θ = 17.30°, intensity 21
- 2θ = 18.85°, intensity 21
- 2θ = 66.68°, intensity 20

Starting from a DFT-relaxed cell (GGA-PBE, Alexandria), the XRD peak list of Ce4Mn3Ge16 was computed for Cu Kα (weighted mean of Kα1 and Kα2).

Crystal structure
a b c (Å): 6.115 6.115 11.319
angles (deg): 90.00 90.00 90.00
Sites, in units of the cell vectors:
Ce  0.000  0.500  0.197
Ce  0.000  0.500  0.803
Ce  0.500  0.000  0.197
Ce  0.500  0.000  0.803
Mn  0.000  0.000  0.000
Mn  0.000  0.500  0.500
Mn  0.500  0.000  0.500
Ge  0.000  0.000  0.226
Ge  0.000  0.000  0.774
Ge  0.251  0.251  0.386
Ge  0.251  0.251  0.614
Ge  0.251  0.749  0.386
Ge  0.251  0.749  0.614
Ge  0.285  0.285  0.000
Ge  0.285  0.715  0.000
Ge  0.500  0.500  0.213
Ge  0.500  0.500  0.787
Ge  0.715  0.285  0.000
Ge  0.715  0.715  0.000
Ge  0.749  0.251  0.386
Ge  0.749  0.251  0.614
Ge  0.749  0.749  0.386
Ge  0.749  0.749  0.614

Top 12 peaks for 5 to 70 degrees two-theta, by intensity:
- 2θ = 37.87°, intensity 100
- 2θ = 41.78°, intensity 80
- 2θ = 33.31°, intensity 70
- 2θ = 59.08°, intensity 38
- 2θ = 39.82°, intensity 33
- 2θ = 43.58°, intensity 27
- 2θ = 60.56°, intensity 25
- 2θ = 31.47°, intensity 24
- 2θ = 30.28°, intensity 15
- 2θ = 20.54°, intensity 13
- 2θ = 53.23°, intensity 9
- 2θ = 65.27°, intensity 8

Starting from a DFT-relaxed cell (GGA-PBE, Alexandria), the XRD peak list of Ce2Mn3Ge5 was computed for Cu Kα (weighted mean of Kα1 and Kα2).

Crystal structure
a b c (Å): 8.401 8.401 8.401
angles (deg): 108.45 85.21 140.08
Sites, in units of the cell vectors:
Ce  0.138  0.233  0.372
Ce  0.362  0.733  0.095
Ce  0.638  0.267  0.905
Ce  0.862  0.767  0.628
Mn  0.145  0.911  0.056
Mn  0.250  0.750  0.500
Mn  0.355  0.411  0.766
Mn  0.645  0.589  0.234
Mn  0.750  0.250  0.500
Mn  0.855  0.089  0.944
Ge  0.039  0.750  0.289
Ge  0.090  0.676  0.766
Ge  0.250  0.250  0.000
Ge  0.410  0.176  0.586
Ge  0.461  0.750  0.711
Ge  0.539  0.250  0.289
Ge  0.590  0.824  0.414
Ge  0.750  0.750  0.000
Ge  0.910  0.324  0.234
Ge  0.961  0.250  0.711

Top 12 peaks for 5 to 70 degrees two-theta, by intensity:
- 2θ = 36.28°, intensity 100
- 2θ = 34.26°, intensity 96
- 2θ = 43.02°, intensity 78
- 2θ = 34.73°, intensity 76
- 2θ = 57.76°, intensity 38
- 2θ = 36.60°, intensity 25
- 2θ = 39.36°, intensity 23
- 2θ = 40.63°, intensity 22
- 2θ = 55.04°, intensity 19
- 2θ = 51.34°, intensity 18
- 2θ = 65.05°, intensity 17
- 2θ = 45.83°, intensity 16